Record 1
This entry pairs a crystal structure of Pm7Sn2Rh with its calculated powder diffractogram. Radiation: Cu Kα, 1.54184 Å. Structure: a crystal structure in Alexandria, relaxed with GGA-PBE.
Kinematic intensities with the Lorentz-polarization factor, no thermal factor.

Most intense lines, 2θ from 10° to 80°, in order of falling intensity:
hkl 4 0 0, d = 2.748 Å, intensity 100
hkl 2 2 2, d = 3.173 Å, intensity 78
hkl 4 4 0, d = 1.943 Å, intensity 73
hkl 6 2 2, d = 1.657 Å, intensity 35
hkl 8 4 0, d = 1.229 Å, intensity 32
hkl 2 0 0, d = 5.495 Å, intensity 28
hkl 4 4 4, d = 1.586 Å, intensity 25
hkl 6 6 2, d = 1.261 Å, intensity 14
hkl 4 2 0, d = 2.458 Å, intensity 14
hkl 8 0 0, d = 1.374 Å, intensity 12

Cell and atoms:
Cell: 10.991 10.991 10.991 Å, 90.00 90.00 90.00°
Space group Fm-3m (No. 225)
Unique sites:
Pm  0.000  0.000  0.000 x4
Pm  0.000  0.000  0.257 x24
Sn  0.250  0.250  0.250 x8
Rh  0.000  0.000  0.500 x4


Record 2
This entry pairs a crystal structure of SrPm4Rh4 with its calculated powder diffractogram. Radiation: Cu Kα, 1.54184 Å. Structure: a crystal structure in Alexandria, relaxed with GGA-PBE.
Kinematic intensities with the Lorentz-polarization factor, no thermal factor.

Most intense lines, 2θ from 10° to 80°, in order of falling intensity:
hkl 1 3 0, d = 2.920 Å, intensity 100
hkl 1 0 2, d = 2.727 Å, intensity 43
hkl 1 1 0, d = 6.529 Å, intensity 34
hkl 4 2 0, d = 2.065 Å, intensity 33
hkl 3 0 2, d = 2.093 Å, intensity 30
hkl 3 2 2, d = 1.906 Å, intensity 20
hkl 1 3 2, d = 2.041 Å, intensity 19
hkl 2 1 1, d = 3.346 Å, intensity 17
hkl 1 4 2, d = 1.762 Å, intensity 16
hkl 1 2 2, d = 2.348 Å, intensity 15

Cell and atoms:
Cell: 9.234 9.234 5.710 Å, 90.00 90.00 90.00°
Space group P4_2/n (No. 86, origin choice 2)
Unique sites:
Sr  0.250  0.250  0.250 x2
Pm  0.078  0.652  0.166 x8
Rh  0.047  0.615  0.662 x8